# 1
Computed X-ray powder pattern of La2PmSm7Cd2 for Cu Kα (weighted mean of Kα1 and Kα2), from a DFT-relaxed cell (GGA-PBE, Alexandria).
Intensities are scaled so that the largest is 100.

Structural model:
a b c (Å): 6.9846 10.2856 11.0337
angles (deg): 90.00 90.00 90.00
Space group Cmmm (No. 65)
One atom of each set of equivalent atoms:
1 La 0.0000 0.0000 0.1505 (multiplicity 4)
2 Pm 0.0000 0.5000 0.5000 (multiplicity 2)
3 Sm 0.0000 0.0000 0.5000 (multiplicity 2)
4 Sm 0.0000 0.3052 0.0000 (multiplicity 4)
5 Sm 0.2500 0.2500 0.3278 (multiplicity 8)
6 Cd 0.0000 0.5000 0.2226 (multiplicity 4)

Main lines, by angle (2θ = 15–90°):
(hkl)  2θ/deg  I_rel
0 2 3  29.87  100
2 0 2  30.29  17
2 2 0  30.95  56
2 2 1  32.02  27
0 4 0  34.89  31
2 2 2  35.06  19
2 0 3  35.45  26
2 4 3  50.59  30
2 2 5  52.16  16
4 2 3  61.48  27



# 2
Computed X-ray powder pattern of HoEr3Os2 for Cu Kα (weighted mean of Kα1 and Kα2), from a DFT-relaxed cell (GGA-PBE, Alexandria).
Intensities are scaled so that the largest is 100.

Structural model:
a b c (Å): 6.7008 13.4558 6.9485
angles (deg): 90.00 90.00 90.00
Space group Ibam (No. 72)
One atom of each set of equivalent atoms:
1 Ho 0.0000 0.0000 0.0000 (multiplicity 4)
2 Er 0.0000 0.2355 0.2500 (multiplicity 8)
3 Er 0.0000 0.5000 0.2500 (multiplicity 4)
4 Os 0.2189 0.3647 0.0000 (multiplicity 8)

Main lines, by angle (2θ = 15–90°):
(hkl)  2θ/deg  I_rel
1 2 1  22.68  100
1 1 2  29.72  25
1 3 2  35.32  57
2 0 2  37.24  98
2 4 0  37.90  97
2 2 2  39.70  24
1 2 3  43.47  18
3 1 2  48.95  19
0 0 4  52.69  21
2 4 4  66.72  37



# 3
Computed X-ray powder pattern of Y2O3F3 for Cu Kα (weighted mean of Kα1 and Kα2), from a DFT-relaxed cell (GGA-PBE, Alexandria).
Intensities are scaled so that the largest is 100.

Structural model:
a b c (Å): 5.7929 5.7929 3.8902
angles (deg): 90.00 90.00 120.00
Space group P-6 (No. 174)
One atom of each set of equivalent atoms:
1 Y 0.0000 0.0000 0.0000 (multiplicity 1)
2 Y 0.3333 0.6667 0.5000 (multiplicity 1)
3 O 0.1039 0.4496 0.0000 (multiplicity 3)
4 F 0.2696 0.2376 0.5000 (multiplicity 3)

Main lines, by angle (2θ = 15–90°):
(hkl)  2θ/deg  I_rel
1 0 0  17.68  100
1 0 1  29.05  69
1 1 0  30.87  48
2 0 1  42.90  64
0 0 2  46.70  17
1 2 1  53.78  57
3 0 0  54.90  16
1 1 2  57.03  17
3 1 1  72.09  13
3 2 1  88.62  13



# 4
Computed X-ray powder pattern of InBi3O7 for Cu Kα (weighted mean of Kα1 and Kα2), from a DFT-relaxed cell (GGA-PBE, Alexandria).
Intensities are scaled so that the largest is 100.

Structural model:
a b c (Å): 7.9042 10.7899 7.6965
angles (deg): 90.00 90.00 90.00
Space group C222_1 (No. 20)
One atom of each set of equivalent atoms:
1 In 0.0059 0.0000 0.0000 (multiplicity 4)
2 Bi 0.0358 0.5000 0.0000 (multiplicity 4)
3 Bi 0.2307 0.2342 0.2382 (multiplicity 8)
4 O 0.0000 0.0921 0.2500 (multiplicity 4)
5 O 0.0000 0.3529 0.2500 (multiplicity 4)
6 O 0.0000 0.3530 0.7500 (multiplicity 4)
7 O 0.2030 0.1387 0.9619 (multiplicity 8)
8 O 0.2196 0.1184 0.5437 (multiplicity 8)

Main lines, by angle (2θ = 15–90°):
(hkl)  2θ/deg  I_rel
2 2 0  27.99  97
0 2 2  28.49  100
2 0 2  32.47  49
0 4 0  33.21  23
2 4 2  47.13  55
0 0 4  47.24  15
4 2 2  54.94  23
2 2 4  55.81  28
0 6 2  56.47  15
0 2 6  76.36  16



# 5
Computed X-ray powder pattern of Cs2PdS6 for Cu Kα (weighted mean of Kα1 and Kα2), from a DFT-relaxed cell (GGA-PBE, Alexandria).
Intensities are scaled so that the largest is 100.

Structural model:
a b c (Å): 5.0053 7.8054 7.8160
angles (deg): 73.14 77.33 77.37
Space group P-1 (No. 2)
One atom of each set of equivalent atoms:
1 Cs 0.0740 0.2856 0.2857 (multiplicity 2)
2 Pd 0.0000 0.0000 0.0000 (multiplicity 1)
3 S 0.3193 0.0768 0.7266 (multiplicity 2)
4 S 0.3200 0.7269 0.0767 (multiplicity 2)
5 S 0.5002 0.2983 0.7017 (multiplicity 2)

Main lines, by angle (2θ = 15–90°):
(hkl)  2θ/deg  I_rel
1 0 0  18.42  21
0 1 -1  19.07  23
0 2 1  24.12  50
1 2 1  26.48  74
1 1 -1  26.64  100
0 3 1  35.45  14
0 0 3  36.58  22
2 1 2  39.22  14
-1 3 1  44.06  22
2 3 0  48.32  18



# 6
Computed X-ray powder pattern of Cd2BAsPt6 for Cu Kα (weighted mean of Kα1 and Kα2), from a DFT-relaxed cell (GGA-PBE, Alexandria).
Intensities are scaled so that the largest is 100.

Structural model:
a b c (Å): 7.8972 7.9647 6.8345
angles (deg): 90.00 123.69 90.00
Space group Cm (No. 8)
One atom of each set of equivalent atoms:
1 Cd 0.0000 0.2410 0.0000 (multiplicity 4)
2 B 0.0285 0.5000 0.5772 (multiplicity 2)
3 As 0.0589 0.0000 0.6281 (multiplicity 2)
4 Pt 0.1890 0.5000 0.3997 (multiplicity 2)
5 Pt 0.1952 0.0000 0.3875 (multiplicity 2)
6 Pt 0.2057 0.5000 0.9337 (multiplicity 2)
7 Pt 0.2800 0.0000 0.0361 (multiplicity 2)
8 Pt 0.4421 0.2438 0.3957 (multiplicity 4)

Main lines, by angle (2θ = 15–90°):
(hkl)  2θ/deg  I_rel
0 0 1  15.58  33
0 0 2  31.46  44
2 2 0  35.42  95
2 2 -2  36.00  100
2 2 1  44.96  24
0 4 0  45.56  33
4 0 -2  45.95  51
0 0 3  48.00  13
0 4 2  56.42  17
4 4 -2  66.73  20